Simulated XRD peak list of Mg6AlAg10 for Cu Kα, 1.54184 Å, from the PBE geometry in Alexandria.

Principal peaks in the range 2θ = 15–90°, by intensity:
- d = 2.314 Å, 38.9 deg, rel. 100
- d = 3.273 Å, 27.2 deg, rel. 29
- d = 2.382 Å, 37.8 deg, rel. 24
- d = 2.624 Å, 34.2 deg, rel. 22
- d = 1.336 Å, 70.5 deg, rel. 18
- d = 3.473 Å, 25.7 deg, rel. 14
- d = 1.637 Å, 56.2 deg, rel. 14
- d = 1.534 Å, 60.3 deg, rel. 9
- d = 1.593 Å, 57.9 deg, rel. 9
- d = 1.218 Å, 78.5 deg, rel. 8
- d = 1.278 Å, 74.2 deg, rel. 6
- d = 1.480 Å, 62.8 deg, rel. 6

Structure:
```
17
Lattice="8.0198 0.0000 0.0000 -4.0099 6.9453 0.0000 0.0000 0.0000 5.6667" Properties=species:S:1:pos:R:3 pbc="T T T"
Mg -1.4941 2.5878 1.6591
Mg -2.5158 4.3575 4.0076
Mg 2.9881 0.0000 1.6591
Mg 1.4941 2.5878 4.0076
Mg 5.0316 0.0000 4.0076
Mg 2.5158 4.3575 1.6591
Al 0.0000 0.0000 2.8333
Ag -1.1104 1.9232 4.5937
Ag -2.8995 5.0221 1.0730
Ag 2.2207 0.0000 4.5937
Ag 1.1104 1.9232 1.0730
Ag 0.0000 4.6302 0.0000
Ag 0.0000 4.6302 2.8333
Ag 4.0099 2.3151 0.0000
Ag 4.0099 2.3151 2.8333
Ag 5.7990 0.0000 1.0730
Ag 2.8995 5.0221 4.5937
```



Simulated XRD peak list of Mg17Al11Ag for Cu Kα, 1.54184 Å, from the PBE geometry in Alexandria.

Principal peaks in the range 2θ = 15–90°, by intensity:
- d = 2.478 Å, 36.3 deg, rel. 100
- d = 4.290 Å, 20.7 deg, rel. 22
- d = 2.243 Å, 40.2 deg, rel. 21
- d = 2.238 Å, 40.3 deg, rel. 21
- d = 2.063 Å, 43.9 deg, rel. 17
- d = 1.431 Å, 65.2 deg, rel. 17
- d = 2.473 Å, 36.3 deg, rel. 15
- d = 2.059 Å, 44.0 deg, rel. 12
- d = 2.811 Å, 31.8 deg, rel. 10
- d = 3.718 Å, 23.9 deg, rel. 9
- d = 1.428 Å, 65.3 deg, rel. 9
- d = 3.324 Å, 26.8 deg, rel. 9

Structure:
```
29
Lattice="5.2605 -7.4152 0.0000 5.2605 7.4152 0.0000 -5.2440 0.0000 7.4425" Properties=species:S:1:pos:R:3 pbc="T T T"
Mg 0.0000 0.0000 0.0000
Mg -1.8028 0.0000 2.5617
Mg 1.8158 2.5533 0.0001
Mg 1.5133 4.4604 2.3555
Mg -1.4945 2.3273 4.4887
Mg 1.5174 2.9558 5.0892
Mg -1.4945 -2.3273 4.4887
Mg 4.8188 2.1044 0.0050
Mg 1.8158 -2.5533 0.0001
Mg 0.4386 0.0000 5.3288
Mg 3.7779 2.3481 2.9797
Mg 4.8188 -2.1044 0.0050
Mg 1.5133 -4.4604 2.3555
Mg 3.4489 0.0000 4.8801
Mg 1.5174 -2.9558 5.0892
Mg 5.7022 0.0000 2.1449
Mg 3.7779 -2.3481 2.9797
Al 4.3210 -2.7086 6.0668
Al 0.9650 6.0483 4.7229
Al 0.9658 1.3788 2.7203
Al 4.3080 4.7071 1.3823
Al 0.9658 -1.3788 2.7203
Al 2.9238 0.0000 1.3620
Al 4.3210 2.7086 6.0668
Al 7.6196 1.3406 0.0137
Al 0.9650 -6.0483 4.7229
Al 7.6196 -1.3406 0.0137
Al 4.3080 -4.7071 1.3823
Ag -2.3167 0.0000 6.1225
```



Simulated XRD peak list of MgAl3Ag6 for Cu Kα, 1.54184 Å, from the PBE geometry in Alexandria.

Principal peaks in the range 2θ = 15–90°, by intensity:
- d = 2.347 Å, 38.4 deg, rel. 100
- d = 2.340 Å, 38.5 deg, rel. 99
- d = 2.185 Å, 41.3 deg, rel. 84
- d = 3.089 Å, 28.9 deg, rel. 46
- d = 3.596 Å, 24.8 deg, rel. 30
- d = 1.545 Å, 59.9 deg, rel. 26
- d = 1.289 Å, 73.4 deg, rel. 26
- d = 1.798 Å, 50.8 deg, rel. 18
- d = 1.388 Å, 67.5 deg, rel. 15
- d = 1.288 Å, 73.5 deg, rel. 14
- d = 1.866 Å, 48.8 deg, rel. 13
- d = 1.292 Å, 73.3 deg, rel. 12

Structure:
```
20
Lattice="8.4037 0.0000 0.0000 0.0000 4.3651 0.0000 -1.4536 0.0000 9.3581" Properties=species:S:1:pos:R:3 pbc="T T T"
Mg -0.0547 1.0913 3.7063
Mg 7.0048 3.2738 5.6518
Al 2.0478 1.0913 0.1539
Al 1.6537 3.2738 7.5963
Al 2.8781 1.0913 5.6181
Al 4.0720 3.2738 3.7399
Al 5.2964 1.0913 1.7618
Al 4.9023 3.2738 9.2042
Ag -0.8721 3.2738 8.4904
Ag 0.2858 1.0913 6.6437
Ag 1.0848 3.2738 1.9777
Ag 1.4520 3.2738 4.8423
Ag 2.7656 1.0913 2.8556
Ag 3.8048 3.2738 0.9409
Ag 3.1453 1.0913 8.4171
Ag 4.1845 3.2738 6.5025
Ag 5.4981 1.0913 4.5158
Ag 5.8653 1.0913 7.3803
Ag 6.6643 3.2738 2.7144
Ag 7.8222 1.0913 0.8677
```



Simulated XRD peak list of Mg8AlAg2 for Cu Kα, 1.54184 Å, from the PBE geometry in Alexandria.

Principal peaks in the range 2θ = 15–90°, by intensity:
- d = 2.403 Å, 37.4 deg, rel. 100
- d = 3.942 Å, 22.6 deg, rel. 82
- d = 2.396 Å, 37.5 deg, rel. 72
- d = 3.862 Å, 23.0 deg, rel. 57
- d = 2.334 Å, 38.6 deg, rel. 48
- d = 2.057 Å, 44.0 deg, rel. 24
- d = 2.718 Å, 33.0 deg, rel. 23
- d = 3.359 Å, 26.5 deg, rel. 22
- d = 3.342 Å, 26.7 deg, rel. 21
- d = 4.442 Å, 20.0 deg, rel. 21
- d = 2.069 Å, 43.8 deg, rel. 18
- d = 3.437 Å, 25.9 deg, rel. 18

Structure:
```
11
Lattice="4.6686 0.0000 0.0000 -0.0010 6.8743 0.0000 -2.2951 -3.4222 7.2169" Properties=species:S:1:pos:R:3 pbc="T T T"
Mg 0.0000 0.0000 0.0000
Mg -0.0009 3.6590 0.6096
Mg 0.0211 -0.9207 2.9475
Mg 0.0295 3.6725 5.2791
Mg 0.0298 -0.0147 5.8920
Mg 2.3437 1.3198 1.3361
Mg 2.3534 3.8695 2.9355
Mg 2.3593 1.3561 4.5954
Al 0.0175 1.9388 2.9499
Ag 2.3337 5.4560 0.6399
Ag 2.3639 -1.4043 5.2170
```



Simulated XRD peak list of Mg2AlAg6 for Cu Kα, 1.54184 Å, from the PBE geometry in Alexandria.

Principal peaks in the range 2θ = 15–90°, by intensity:
- d = 2.383 Å, 37.7 deg, rel. 100
- d = 2.014 Å, 45.0 deg, rel. 24
- d = 2.175 Å, 41.5 deg, rel. 23
- d = 2.871 Å, 31.1 deg, rel. 21
- d = 2.296 Å, 39.2 deg, rel. 17
- d = 1.478 Å, 62.9 deg, rel. 17
- d = 1.292 Å, 73.2 deg, rel. 13
- d = 3.531 Å, 25.2 deg, rel. 12
- d = 2.370 Å, 38.0 deg, rel. 12
- d = 1.290 Å, 73.4 deg, rel. 9
- d = 1.223 Å, 78.2 deg, rel. 9
- d = 3.822 Å, 23.3 deg, rel. 8

Structure:
```
18
Lattice="8.5456 0.0000 0.0000 0.0000 8.5456 0.0000 0.0000 0.0000 4.3509" Properties=species:S:1:pos:R:3 pbc="T T T"
Mg 1.6705 1.6705 0.0000
Mg 2.6023 5.9433 2.1755
Mg 5.9433 2.6023 2.1755
Mg 6.8751 6.8751 0.0000
Al 0.0000 0.0000 2.1755
Al 4.2728 4.2728 0.0000
Ag 0.2145 2.8187 2.1755
Ag 1.1369 7.4087 0.0000
Ag 1.4541 4.4873 0.0000
Ag 2.8187 0.2145 2.1755
Ag 3.1359 3.1359 2.1755
Ag 4.0583 7.0915 0.0000
Ag 4.4873 1.4541 0.0000
Ag 5.4097 5.4097 2.1755
Ag 5.7269 8.3311 2.1755
Ag 7.0915 4.0583 0.0000
Ag 7.4087 1.1369 0.0000
Ag 8.3311 5.7269 2.1755
```



Simulated XRD peak list of Mg8Al2Ag for Cu Kα, 1.54184 Å, from the PBE geometry in Alexandria.

Principal peaks in the range 2θ = 15–90°, by intensity:
- d = 2.405 Å, 37.4 deg, rel. 100
- d = 2.400 Å, 37.5 deg, rel. 63
- d = 3.438 Å, 25.9 deg, rel. 38
- d = 2.625 Å, 34.2 deg, rel. 28
- d = 2.349 Å, 38.3 deg, rel. 26
- d = 3.880 Å, 22.9 deg, rel. 26
- d = 3.938 Å, 22.6 deg, rel. 22
- d = 1.387 Å, 67.6 deg, rel. 21
- d = 1.679 Å, 54.7 deg, rel. 18
- d = 4.546 Å, 19.5 deg, rel. 15
- d = 1.720 Å, 53.2 deg, rel. 13
- d = 2.264 Å, 39.8 deg, rel. 11

Structure:
```
11
Lattice="7.8290 -2.4011 0.0000 7.8290 2.4011 0.0000 -2.9989 0.0000 6.1935" Properties=species:S:1:pos:R:3 pbc="T T T"
Mg -0.6645 0.0000 1.4268
Mg 0.6526 0.0000 4.1900
Mg 3.6374 0.0000 3.8404
Mg 5.3195 0.0000 0.5046
Mg 7.3397 0.0000 5.6890
Mg 9.0217 0.0000 2.3532
Mg 12.0066 0.0000 2.0035
Mg 13.3236 0.0000 4.7667
Al 2.3394 0.0000 1.1258
Al 10.3197 0.0000 5.0678
Ag 6.3296 0.0000 3.0968
```



Simulated XRD peak list of Mg2Al3Ag7 for Cu Kα, 1.54184 Å, from the PBE geometry in Alexandria.

Principal peaks in the range 2θ = 15–90°, by intensity:
- d = 4.597 Å, 19.3 deg, rel. 100
- d = 2.355 Å, 38.2 deg, rel. 77
- d = 2.411 Å, 37.3 deg, rel. 75
- d = 2.299 Å, 39.2 deg, rel. 73
- d = 2.088 Å, 43.3 deg, rel. 66
- d = 2.235 Å, 40.4 deg, rel. 58
- d = 2.483 Å, 36.2 deg, rel. 56
- d = 2.827 Å, 31.7 deg, rel. 34
- d = 2.683 Å, 33.4 deg, rel. 32
- d = 1.524 Å, 60.8 deg, rel. 23
- d = 2.446 Å, 36.7 deg, rel. 21
- d = 1.909 Å, 47.6 deg, rel. 18

Structure:
```
12
Lattice="5.3883 0.0000 0.0000 0.0000 2.8882 0.0000 -1.2010 0.0000 13.7922" Properties=species:S:1:pos:R:3 pbc="T T T"
Mg 0.1824 0.0000 2.4227
Mg 4.0049 0.0000 11.3695
Al 1.3963 1.4441 11.5569
Al 2.0936 0.0000 6.8961
Al 2.7909 1.4441 2.2353
Ag -0.6005 1.4441 6.8961
Ag 0.4119 0.0000 9.2878
Ag 0.1610 0.0000 13.6783
Ag 1.1857 1.4441 4.6695
Ag 3.0016 1.4441 9.1227
Ag 4.0263 0.0000 0.1140
Ag 3.7753 0.0000 4.5044
```



Simulated XRD peak list of Mg2Al3Ag5 for Cu Kα, 1.54184 Å, from the PBE geometry in Alexandria.

Principal peaks in the range 2θ = 15–90°, by intensity:
- d = 2.226 Å, 40.5 deg, rel. 100
- d = 3.638 Å, 24.5 deg, rel. 92
- d = 2.321 Å, 38.8 deg, rel. 86
- d = 4.229 Å, 21.0 deg, rel. 79
- d = 2.256 Å, 40.0 deg, rel. 61
- d = 2.217 Å, 40.7 deg, rel. 52
- d = 2.381 Å, 37.8 deg, rel. 43
- d = 1.623 Å, 56.7 deg, rel. 28
- d = 2.114 Å, 42.8 deg, rel. 25
- d = 1.964 Å, 46.2 deg, rel. 19
- d = 1.287 Å, 73.6 deg, rel. 18
- d = 1.530 Å, 60.5 deg, rel. 17

Structure:
```
10
Lattice="4.9375 -2.2172 0.0000 4.9375 2.2172 0.0000 -0.1583 0.0000 8.4564" Properties=species:S:1:pos:R:3 pbc="T T T"
Mg 0.4126 0.0000 1.8500
Mg 9.3040 0.0000 6.6064
Al 2.2711 0.0000 7.6149
Al 4.8583 0.0000 4.2282
Al 7.4455 0.0000 0.8414
Ag 1.4913 0.0000 4.5252
Ag 3.2122 0.0000 2.1195
Ag 4.9375 0.0000 0.0000
Ag 6.5045 0.0000 6.3368
Ag 8.2254 0.0000 3.9311
```